No. 1
For Ce3ErTe6, the PBE geometry in Alexandria gives the calculated powder X-ray diffraction pattern in this record (Cu Kα).
Peak positions follow from Bragg's law for the DFT cell and can differ from measured ones.

Structural model:
a = 7.4368 Å, b = 8.3623 Å, c = 13.2875 Å
α = 90.00°, β = 122.51°, γ = 90.00°
Space group P2_1/c (No. 14)
Inequivalent atoms, fractional coordinates:
Ce: 0.0000 0.0000 0.0000 (multiplicity 2)
Ce: 0.3066 0.1191 0.7554 (multiplicity 4)
Er: 0.5000 0.0000 0.5000 (multiplicity 2)
Te: 0.0941 0.0520 0.2568 (multiplicity 4)
Te: 0.2416 0.6733 0.0784 (multiplicity 4)
Te: 0.4172 0.1802 0.0739 (multiplicity 4)

Top 10 peaks for 2θ from 15° to 90°, low angle first:
- hkl 1 1 -3, 22.76 deg, rel. 46.1
- hkl 1 0 2, 26.42 deg, rel. 43.7
- hkl 2 1 -1, 27.25 deg, rel. 50.0
- hkl 2 1 -3, 27.63 deg, rel. 50.7
- hkl 1 1 2, 28.53 deg, rel. 50.4
- hkl 1 1 -4, 29.06 deg, rel. 96.5
- hkl 0 2 3, 32.16 deg, rel. 73.5
- hkl 1 3 -1, 34.36 deg, rel. 100.0
- hkl 3 1 -1, 40.87 deg, rel. 76.5
- hkl 3 1 -5, 41.66 deg, rel. 58.6

---

No. 2
For RbCdNiCl6, the PBE geometry in Alexandria gives the calculated powder X-ray diffraction pattern in this record (Cu Kα).
Peak positions follow from Bragg's law for the DFT cell and can differ from measured ones.

Structural model:
a = 6.8012 Å, b = 10.9779 Å, c = 7.2812 Å
α = 90.00°, β = 92.83°, γ = 90.00°
Space group C2 (No. 5)
Inequivalent atoms, fractional coordinates:
Rb: 0.0000 0.0000 0.0000 (multiplicity 2)
Cd: 0.0000 0.6760 0.5000 (multiplicity 2)
Ni: 0.0000 0.3286 0.5000 (multiplicity 2)
Cl: 0.1323 0.4749 0.6807 (multiplicity 4)
Cl: 0.1580 0.1886 0.6777 (multiplicity 4)
Cl: 0.2143 0.8159 0.7097 (multiplicity 4)

Top 10 peaks for 2θ from 15° to 90°, low angle first:
- hkl 1 1 -1, 19.22 deg, rel. 96.0
- hkl 1 1 1, 20.03 deg, rel. 86.0
- hkl 0 2 1, 20.27 deg, rel. 100.0
- hkl 1 3 0, 27.69 deg, rel. 33.2
- hkl 1 3 1, 30.61 deg, rel. 39.7
- hkl 2 0 -2, 35.26 deg, rel. 65.0
- hkl 1 3 2, 37.74 deg, rel. 94.2
- hkl 3 3 0, 47.19 deg, rel. 50.1
- hkl 0 0 4, 50.17 deg, rel. 28.9
- hkl 1 3 -4, 57.64 deg, rel. 33.4

---

No. 3
For RbBaAg2Cl8, the PBE geometry in Alexandria gives the calculated powder X-ray diffraction pattern in this record (Cu Kα).
Peak positions follow from Bragg's law for the DFT cell and can differ from measured ones.

Structural model:
a = 7.4622 Å, b = 7.4622 Å, c = 12.9127 Å
α = 90.00°, β = 90.00°, γ = 90.00°
Space group I-4 (No. 82)
Inequivalent atoms, fractional coordinates:
Rb: 0.0000 0.0000 0.0000 (multiplicity 2)
Ba: 0.0000 0.5000 0.7500 (multiplicity 2)
Ag: 0.0000 0.0000 0.5000 (multiplicity 2)
Ag: 0.0000 0.5000 0.2500 (multiplicity 2)
Cl: 0.0417 0.3146 0.5165 (multiplicity 8)
Cl: 0.1233 0.8032 0.2308 (multiplicity 8)

Top 10 peaks for 2θ from 15° to 90°, low angle first:
- hkl 1 1 2, 21.75 deg, rel. 100.0
- hkl 2 0 0, 23.85 deg, rel. 58.3
- hkl 0 0 4, 27.63 deg, rel. 74.0
- hkl 2 2 0, 33.98 deg, rel. 24.4
- hkl 2 0 4, 36.81 deg, rel. 43.2
- hkl 1 3 2, 40.71 deg, rel. 95.5
- hkl 2 2 4, 44.34 deg, rel. 20.0
- hkl 0 0 8, 57.03 deg, rel. 18.5
- hkl 1 3 6, 58.00 deg, rel. 29.3
- hkl 4 2 4, 62.69 deg, rel. 29.5

---

No. 4
For La2YIr, the PBE geometry in Alexandria gives the calculated powder X-ray diffraction pattern in this record (Cu Kα).
Peak positions follow from Bragg's law for the DFT cell and can differ from measured ones.

Structural model:
a = 7.3785 Å, b = 10.1248 Å, c = 6.4349 Å
α = 90.00°, β = 90.00°, γ = 90.00°
Space group Pnma (No. 62)
Inequivalent atoms, fractional coordinates:
La: 0.1746 0.0671 0.1738 (multiplicity 8)
Y: 0.0381 0.2500 0.6551 (multiplicity 4)
Ir: 0.1233 0.7500 0.9403 (multiplicity 4)

Top 10 peaks for 2θ from 15° to 90°, low angle first:
- hkl 1 0 1, 18.29 deg, rel. 60.1
- hkl 1 1 1, 20.30 deg, rel. 42.4
- hkl 0 3 1, 29.92 deg, rel. 97.7
- hkl 1 1 2, 31.60 deg, rel. 84.5
- hkl 1 3 1, 32.32 deg, rel. 100.0
- hkl 2 2 1, 33.11 deg, rel. 88.4
- hkl 1 2 2, 35.22 deg, rel. 55.6
- hkl 2 3 0, 36.07 deg, rel. 82.0
- hkl 2 1 2, 38.16 deg, rel. 46.3
- hkl 3 0 1, 39.21 deg, rel. 40.5